Theoretical powder X-ray diffraction pattern
Compound: AgAsC4S8N4F6
Radiation: λ = 1.5418 Å (Cu Kα)
Structure: a cell relaxed with GGA-PBE
No peak broadening, texture or thermal motion is included.

Peak list (10 most intense, 2θ from 15° to 90°, sorted by position)
- 16.74°, rel. 16.8
- 19.61°, rel. 100.0
- 20.36°, rel. 30.1
- 22.79°, rel. 22.7
- 24.39°, rel. 51.0
- 26.47°, rel. 39.3
- 30.49°, rel. 28.3
- 32.45°, rel. 21.1
- 35.21°, rel. 17.2
- 35.42°, rel. 20.5

Structure:
```
AgAsC4S8N4F6
1.0
8.724 0.000 0.000
0.000 8.724 0.000
0.000 0.000 6.665
Ag As C S N F
1 1 4 8 4 6
Cartesian
0.000 0.000 0.000
4.362 4.362 0.000
0.879 2.367 4.429
2.367 7.845 2.236
6.357 0.879 2.236
7.845 6.357 4.429
0.275 3.401 1.792
1.785 3.162 3.265
3.162 6.939 3.400
3.401 8.449 4.873
5.323 0.275 4.873
5.562 1.785 3.400
6.939 5.562 3.265
8.449 5.323 1.792
0.310 1.762 5.257
1.762 8.414 1.408
6.962 0.310 1.408
8.414 6.962 5.257
2.817 5.240 0.007
3.484 2.817 6.659
4.362 4.362 1.781
4.362 4.362 4.884
5.240 5.907 6.659
5.907 3.484 0.007
```

=====

Theoretical powder X-ray diffraction pattern
Compound: CaAgAsO4
Radiation: λ = 1.5418 Å (Cu Kα)
Structure: a cell relaxed with GGA-PBE
No peak broadening, texture or thermal motion is included.

Peak list (10 most intense, 2θ from 15° to 90°, sorted by position)
- 24.89°, rel. 51.3
- 30.05°, rel. 71.0
- 30.64°, rel. 90.2
- 31.27°, rel. 20.2
- 31.95°, rel. 100.0
- 35.59°, rel. 25.7
- 40.92°, rel. 42.0
- 43.92°, rel. 40.6
- 54.58°, rel. 22.4
- 61.51°, rel. 29.5

Structure:
```
CaAgAsO4
1.0
2.973 -4.764 0.000
2.973 4.764 0.000
0.000 0.000 7.154
Ca Ag As O
2 2 2 8
Cartesian
0.000 0.000 0.000
0.000 0.000 3.577
2.973 1.793 5.366
2.973 -1.793 1.789
2.973 1.444 1.789
2.973 -1.444 5.366
1.583 0.392 1.789
2.973 2.461 0.413
2.973 2.461 3.164
1.583 -0.392 5.366
4.364 0.392 1.789
2.973 -2.461 3.990
2.973 -2.461 6.742
4.364 -0.392 5.366
```

=====

Theoretical powder X-ray diffraction pattern
Compound: CaAgAsO5
Radiation: λ = 1.5418 Å (Cu Kα)
Structure: a cell relaxed with GGA-PBE
No peak broadening, texture or thermal motion is included.

Peak list (10 most intense, 2θ from 15° to 90°, sorted by position)
- 20.86°, rel. 18.1
- 23.38°, rel. 22.5
- 27.74°, rel. 28.8
- 29.62°, rel. 100.0
- 33.26°, rel. 80.1
- 42.46°, rel. 28.1
- 47.67°, rel. 21.8
- 47.78°, rel. 20.0
- 54.97°, rel. 24.4
- 69.86°, rel. 18.1

Structure:
```
CaAgAsO5
1.0
6.020 0.000 0.000
0.000 7.609 0.000
0.000 0.000 9.863
Ca Ag As O
4 4 4 20
Cartesian
0.032 1.348 1.641
2.978 6.261 6.572
3.041 2.457 8.222
5.988 5.152 3.291
1.489 5.710 0.003
1.520 1.899 4.934
4.499 5.703 9.860
4.530 1.906 4.929
0.172 4.619 6.572
2.838 2.990 1.641
3.182 6.794 3.291
5.847 0.814 8.222
0.006 3.376 5.248
0.022 0.962 3.989
0.673 5.916 5.583
1.358 0.916 7.474
1.484 4.289 7.616
1.525 3.319 2.684
1.651 6.693 2.542
2.337 1.693 0.652
2.988 6.647 8.920
3.004 4.233 0.316
3.016 0.428 4.615
3.032 2.842 5.874
3.683 5.497 4.280
4.368 2.889 2.389
4.494 7.124 2.247
4.535 0.485 7.179
4.661 4.720 7.321
5.346 2.111 9.211
5.998 4.766 0.943
6.013 7.180 9.547
```

=====

Theoretical powder X-ray diffraction pattern
Compound: CeZnAgAs2
Radiation: λ = 1.5418 Å (Cu Kα)
Structure: a cell relaxed with GGA-PBE
No peak broadening, texture or thermal motion is included.

Peak list (10 most intense, 2θ from 15° to 90°, sorted by position)
- 27.05°, rel. 99.4
- 35.31°, rel. 100.0
- 41.71°, rel. 88.5
- 46.24°, rel. 33.0
- 50.42°, rel. 17.6
- 55.77°, rel. 26.1
- 58.49°, rel. 20.4
- 67.45°, rel. 14.5
- 72.00°, rel. 23.9
- 76.15°, rel. 14.4

Structure:
```
CeZnAgAs2
1.0
4.330 0.000 0.000
-2.165 3.750 0.000
0.000 0.000 6.913
Ce Zn Ag As
1 1 1 2
Cartesian
0.000 0.000 0.000
2.165 1.250 2.630
0.000 2.500 4.464
0.000 2.500 1.742
2.165 1.250 5.282
```

=====

Theoretical powder X-ray diffraction pattern
Compound: CuAg7As4ClO14
Radiation: λ = 1.5418 Å (Cu Kα)
Structure: a cell relaxed with GGA-PBE
No peak broadening, texture or thermal motion is included.

Peak list (10 most intense, 2θ from 15° to 90°, sorted by position)
- 28.68°, rel. 100.0
- 29.73°, rel. 25.4
- 30.64°, rel. 51.7
- 31.23°, rel. 24.7
- 31.40°, rel. 18.4
- 32.16°, rel. 67.7
- 32.75°, rel. 76.9
- 33.05°, rel. 27.6
- 40.51°, rel. 18.8
- 52.63°, rel. 19.1

Structure:
```
CuAg7As4ClO14
1.0
5.244 -4.562 0.000
5.244 4.562 0.000
-1.516 0.000 16.702
Cu Ag As Cl O
2 14 8 2 28
Cartesian
4.486 4.517 8.351
5.244 -4.517 0.000
2.940 2.428 13.983
2.709 0.523 2.656
4.355 2.135 5.665
4.620 2.186 11.160
1.951 -0.523 11.007
6.418 2.189 2.929
5.303 0.980 0.035
4.546 -0.980 8.386
6.300 0.669 14.101
3.698 -2.428 5.632
3.597 -2.135 14.016
5.378 -2.186 2.809
7.058 -0.669 5.750
5.661 -2.189 11.280
2.343 1.590 8.383
1.235 0.130 5.738
0.478 -0.130 14.089
3.101 -1.590 0.032
6.700 1.669 8.414
7.963 0.451 11.057
7.458 -1.669 0.063
8.721 -0.451 2.706
3.982 0.302 12.814
4.740 -0.302 4.463
3.963 4.193 10.187
1.632 1.346 0.503
2.957 3.004 7.628
0.757 1.458 13.533
1.485 1.381 4.607
2.394 2.925 16.436
4.149 4.312 14.814
4.021 2.590 3.258
2.453 0.368 7.037
0.874 -1.346 8.854
3.348 0.849 9.551
0.728 -1.381 12.958
1.695 -0.368 15.388
6.724 2.840 0.591
1.515 -1.458 5.182
4.106 -0.849 1.200
5.737 0.811 7.306
6.553 0.688 9.952
2.199 -3.004 15.979
3.152 -2.925 8.085
3.263 -2.590 11.609
4.979 -0.811 15.657
8.027 0.588 3.869
7.310 -0.688 1.601
7.269 -0.588 12.220
4.720 -4.193 1.836
5.967 -2.840 8.942
4.907 -4.312 6.463
```

=====

Theoretical powder X-ray diffraction pattern
Compound: K2AgAsCl6
Radiation: λ = 1.5418 Å (Cu Kα)
Structure: a cell relaxed with GGA-PBE
No peak broadening, texture or thermal motion is included.

Peak list (10 most intense, 2θ from 15° to 90°, sorted by position)
- 17.05°, rel. 82.9
- 24.21°, rel. 85.9
- 34.50°, rel. 100.0
- 38.73°, rel. 39.5
- 42.60°, rel. 37.3
- 49.59°, rel. 64.1
- 52.83°, rel. 19.4
- 61.82°, rel. 20.7
- 67.40°, rel. 18.5
- 83.08°, rel. 26.1

Structure:
```
K2AgAsCl6
1.0
0.000 5.199 5.199
5.199 0.000 5.199
5.199 5.199 0.000
K Ag As Cl
2 1 1 6
Cartesian
2.600 2.600 2.600
7.799 7.799 7.799
0.000 0.000 0.000
5.199 5.199 5.199
5.199 5.199 2.688
5.199 2.688 5.199
7.710 5.199 5.199
2.688 5.199 5.199
5.199 7.710 5.199
5.199 5.199 7.710
```